# Cr5Ga
Calculated powder XRD pattern, Cu Kα, 1.54184 Å. Input: a PBE-relaxed structure.
No peak broadening, texture or thermal motion is included.

Cell and atoms:
Lattice parameters (Å, degrees): 4.0634 4.1223 4.7545 90.00 115.10 90.00
Space group P2/m (No. 10)
Asymmetric unit:
Cr: 0.0000 0.0000 0.0000 [1 per cell]
Cr: 0.1770 0.5000 0.3557 [2 per cell]
Cr: 0.3269 0.0000 0.6528 [2 per cell]
Ga: 0.5000 0.5000 0.0000 [1 per cell]

Largest 10 diffraction maxima, low angle first, 10° ≤ 2θ ≤ 80°:
- 21.56 deg, d 4.122, rel. 1, (0 1 0)
- 24.22 deg, d 3.675, rel. 1, (1 0 -1)
- 32.65 deg, d 2.743, rel. 3, (1 1 -1)
- 41.97 deg, d 2.153, rel. 1, (0 0 2)
- 43.93 deg, d 2.061, rel. 35, (0 2 0)
- 44.40 deg, d 2.040, rel. 67, (1 1 1)
- 44.54 deg, d 2.034, rel. 100, (2 0 -1)
- 62.37 deg, d 1.489, rel. 1, (0 2 2)
- 64.39 deg, d 1.447, rel. 20, (2 2 -1)
- 64.98 deg, d 1.435, rel. 9, (0 0 3)